Record 1
This entry pairs a crystal structure of V3CrRe with its computed powder XRD pattern. Radiation: Cu Ka. Structure: the PBE geometry in Alexandria.
Intensities are scaled so that the largest is 100.

Structure:
```
V3CrRe
1.0
4.224 0.000 0.000
0.000 4.220 0.000
-2.103 0.000 7.458
V Cr Re
6 2 2
direct
0.051 0.250 0.102 V
0.250 0.250 0.500 V
0.448 0.250 0.896 V
0.552 0.750 0.104 V
0.750 0.750 0.500 V
0.949 0.750 0.898 V
0.149 0.750 0.298 Cr
0.851 0.250 0.702 Cr
0.350 0.750 0.700 Re
0.650 0.250 0.300 Re
```

Peak list (10 most intense, 10° ≤ 2θ ≤ 80°, sorted by position)
2θ (°)	I (rel.)
21.87	7
23.86	7
24.23	15
27.71	11
30.54	13
42.85	100
49.80	5
62.21	16
78.47	18
78.54	13

Record 2
This entry pairs a crystal structure of LiSm2Al4Pd3 with its computed powder XRD pattern. Radiation: Cu Ka. Structure: the PBE geometry in Alexandria.
Intensities are scaled so that the largest is 100.

Structure:
```
LiSm2Al4Pd3
1.0
4.197 0.000 0.000
0.000 4.197 0.000
0.000 0.000 10.941
Li Sm Al Pd
1 2 4 3
direct
0.000 0.000 0.000 Li
0.000 0.500 0.742 Sm
0.500 0.000 0.258 Sm
0.000 0.000 0.500 Al
0.000 0.500 0.134 Al
0.500 0.000 0.866 Al
0.500 0.500 0.500 Al
0.000 0.500 0.366 Pd
0.500 0.000 0.634 Pd
0.500 0.500 0.000 Pd
```

Peak list (10 most intense, 10° ≤ 2θ ≤ 80°, sorted by position)
2θ (°)	I (rel.)
22.69	23
26.77	22
30.11	46
32.53	100
34.38	98
43.11	58
46.82	48
55.03	44
65.52	35
73.42	21

Record 3
This entry pairs a crystal structure of Li6Mg4In with its computed powder XRD pattern. Radiation: Cu Ka. Structure: the PBE geometry in Alexandria.
Intensities are scaled so that the largest is 100.

Structure:
```
Li6Mg4In
1.0
0.000 4.675 6.991
3.619 0.000 6.991
3.619 4.675 0.000
Li Mg In
6 4 1
direct
0.036 0.396 0.964 Li
0.201 0.799 0.201 Li
0.346 0.346 0.154 Li
0.396 0.036 0.604 Li
0.799 0.201 0.799 Li
0.846 0.846 0.654 Li
0.301 0.702 0.699 Mg
0.484 0.870 0.130 Mg
0.702 0.301 0.298 Mg
0.870 0.484 0.516 Mg
0.848 0.848 0.152 In
```

Peak list (10 most intense, 10° ≤ 2θ ≤ 80°, sorted by position)
2θ (°)	I (rel.)
12.66	19
16.74	100
18.98	20
22.88	29
24.63	49
33.85	35
35.73	29
36.85	36
39.09	21
40.74	31

Record 4
This entry pairs a crystal structure of YCd12Ag6 with its computed powder XRD pattern. Radiation: Cu Ka. Structure: the PBE geometry in Alexandria.
Intensities are scaled so that the largest is 100.

Structure:
```
YCd12Ag6
1.0
6.311 3.644 3.114
-6.311 3.644 3.114
0.000 -7.287 3.114
Y Cd Ag
1 12 6
direct
0.000 0.000 0.000 Y
0.113 0.500 0.887 Cd
0.113 0.887 0.500 Cd
0.123 0.369 0.369 Cd
0.369 0.123 0.369 Cd
0.369 0.369 0.123 Cd
0.500 0.113 0.887 Cd
0.500 0.887 0.113 Cd
0.631 0.631 0.877 Cd
0.631 0.877 0.631 Cd
0.877 0.631 0.631 Cd
0.887 0.113 0.500 Cd
0.887 0.500 0.113 Cd
0.297 0.700 0.700 Ag
0.300 0.300 0.703 Ag
0.300 0.703 0.300 Ag
0.700 0.297 0.700 Ag
0.700 0.700 0.297 Ag
0.703 0.300 0.300 Ag
```

Peak list (10 most intense, 10° ≤ 2θ ≤ 80°, sorted by position)
2θ (°)	I (rel.)
31.01	93
32.05	60
37.12	100
38.01	82
40.84	60
42.07	49
43.00	21
45.83	58
69.52	21
72.87	29

Record 5
This entry pairs a crystal structure of Sm6GaCo2Cl3 with its computed powder XRD pattern. Radiation: Cu Ka. Structure: the PBE geometry in Alexandria.
Intensities are scaled so that the largest is 100.

Structure:
```
Sm6GaCo2Cl3
1.0
9.614 -1.955 0.000
9.614 1.955 0.000
-2.700 0.000 8.294
Sm Ga Co Cl
6 1 2 3
direct
0.026 0.026 0.263 Sm
0.318 0.318 0.428 Sm
0.338 0.338 0.874 Sm
0.662 0.662 0.126 Sm
0.682 0.682 0.572 Sm
0.974 0.974 0.737 Sm
0.500 0.500 0.000 Ga
0.171 0.171 0.347 Co
0.829 0.829 0.653 Co
0.170 0.170 0.847 Cl
0.500 0.500 0.500 Cl
0.830 0.830 0.153 Cl
```

Peak list (10 most intense, 10° ≤ 2θ ≤ 80°, sorted by position)
2θ (°)	I (rel.)
11.98	38
26.21	17
27.10	30
29.31	44
30.77	100
41.57	17
41.68	26
44.30	29
46.45	17
52.41	17

Record 6
This entry pairs a crystal structure of Dy5Al4 with its computed powder XRD pattern. Radiation: Cu Ka. Structure: the PBE geometry in Alexandria.
Intensities are scaled so that the largest is 100.

Structure:
```
Dy5Al4
1.0
5.438 -2.309 0.000
5.438 2.309 0.000
-4.144 0.000 9.302
Dy Al
5 4
direct
0.000 0.000 0.000 Dy
0.098 0.098 0.393 Dy
0.247 0.247 0.824 Dy
0.753 0.753 0.176 Dy
0.902 0.902 0.607 Dy
0.382 0.382 0.387 Al
0.445 0.445 0.164 Al
0.555 0.555 0.836 Al
0.618 0.618 0.613 Al
```

Peak list (10 most intense, 10° ≤ 2θ ≤ 80°, sorted by position)
2θ (°)	I (rel.)
21.22	56
27.00	70
31.09	93
31.24	39
31.40	100
32.86	51
33.32	42
39.01	44
48.08	30
50.77	42

Record 7
This entry pairs a crystal structure of Ag5BiO4 with its computed powder XRD pattern. Radiation: Cu Ka. Structure: the PBE geometry in Alexandria.
Intensities are scaled so that the largest is 100.

Structure:
```
Ag5BiO4
1.0
6.017 0.000 0.000
0.000 8.986 0.000
-5.874 0.000 12.873
Ag Bi O
20 4 16
direct
0.000 0.000 0.000 Ag
0.000 0.500 0.500 Ag
0.114 0.232 0.371 Ag
0.114 0.268 0.871 Ag
0.126 0.139 0.654 Ag
0.126 0.361 0.154 Ag
0.217 0.507 0.746 Ag
0.217 0.993 0.246 Ag
0.380 0.730 0.128 Ag
0.380 0.770 0.628 Ag
0.500 0.000 0.500 Ag
0.500 0.500 0.000 Ag
0.620 0.230 0.372 Ag
0.620 0.270 0.872 Ag
0.783 0.007 0.754 Ag
0.783 0.493 0.254 Ag
0.874 0.639 0.846 Ag
0.874 0.861 0.346 Ag
0.886 0.732 0.129 Ag
0.886 0.768 0.629 Ag
0.406 0.622 0.380 Bi
0.406 0.878 0.880 Bi
0.594 0.122 0.120 Bi
0.594 0.378 0.620 Bi
0.041 0.635 0.380 O
0.041 0.865 0.880 O
0.202 0.596 0.200 O
0.202 0.904 0.700 O
0.433 0.137 0.939 O
0.433 0.363 0.439 O
0.470 0.636 0.873 O
0.470 0.864 0.373 O
0.530 0.136 0.627 O
0.530 0.364 0.127 O
0.567 0.637 0.561 O
0.567 0.863 0.061 O
0.798 0.096 0.300 O
0.798 0.404 0.800 O
0.959 0.135 0.120 O
0.959 0.365 0.620 O
```

Peak list (10 most intense, 10° ≤ 2θ ≤ 80°, sorted by position)
2θ (°)	I (rel.)
28.33	30
28.49	26
32.97	100
33.25	44
33.42	57
34.26	99
34.52	43
35.93	41
53.17	28
58.60	25

Record 8
This entry pairs a crystal structure of Tb3ThCd2 with its computed powder XRD pattern. Radiation: Cu Ka. Structure: the PBE geometry in Alexandria.
Intensities are scaled so that the largest is 100.

Structure:
```
Tb3ThCd2
1.0
3.632 0.000 0.000
0.000 3.632 0.000
0.000 0.000 12.822
Tb Th Cd
3 1 2
direct
0.000 0.000 0.000 Tb
0.000 0.000 0.313 Tb
0.000 0.000 0.687 Tb
0.500 0.500 0.500 Th
0.500 0.500 0.156 Cd
0.500 0.500 0.844 Cd
```

Peak list (10 most intense, 10° ≤ 2θ ≤ 80°, sorted by position)
2θ (°)	I (rel.)
28.24	7
32.35	100
34.94	46
42.29	10
50.25	19
55.98	17
61.03	32
67.71	10
71.08	6
73.79	5

Record 9
This entry pairs a crystal structure of Pa4Zn5Pt6 with its computed powder XRD pattern. Radiation: Cu Ka. Structure: the PBE geometry in Alexandria.
Intensities are scaled so that the largest is 100.

Structure:
```
Pa4Zn5Pt6
1.0
1.959 -10.194 0.000
1.959 10.194 0.000
0.000 0.000 14.931
Pa Zn Pt
8 10 12
direct
0.016 0.984 0.500 Pa
0.042 0.958 0.763 Pa
0.152 0.848 0.285 Pa
0.190 0.810 0.923 Pa
0.810 0.190 0.423 Pa
0.848 0.152 0.785 Pa
0.958 0.042 0.263 Pa
0.984 0.016 0.000 Pa
0.162 0.838 0.620 Zn
0.306 0.694 0.597 Zn
0.337 0.663 0.255 Zn
0.363 0.637 0.969 Zn
0.446 0.554 0.661 Zn
0.554 0.446 0.161 Zn
0.637 0.363 0.469 Zn
0.663 0.337 0.755 Zn
0.694 0.306 0.097 Zn
0.838 0.162 0.120 Zn
0.111 0.889 0.083 Pt
0.218 0.782 0.467 Pt
0.249 0.751 0.751 Pt
0.416 0.584 0.408 Pt
0.427 0.573 0.122 Pt
0.449 0.551 0.839 Pt
0.551 0.449 0.339 Pt
0.573 0.427 0.622 Pt
0.584 0.416 0.908 Pt
0.751 0.249 0.251 Pt
0.782 0.218 0.967 Pt
0.889 0.111 0.583 Pt
```

Peak list (10 most intense, 10° ≤ 2θ ≤ 80°, sorted by position)
2θ (°)	I (rel.)
26.93	28
31.67	27
32.25	47
33.44	58
33.93	34
35.75	33
36.57	100
46.15	29
46.34	56
50.53	29

Record 10
This entry pairs a crystal structure of TlAuBr6 with its computed powder XRD pattern. Radiation: Cu Ka. Structure: the PBE geometry in Alexandria.
Intensities are scaled so that the largest is 100.

Structure:
```
TlAuBr6
1.0
6.240 0.000 0.000
0.689 7.414 0.000
0.997 3.123 6.717
Tl Au Br
1 1 6
direct
0.000 0.000 0.000 Tl
0.500 0.500 0.000 Au
0.113 0.806 0.348 Br
0.256 0.385 0.836 Br
0.380 0.846 0.793 Br
0.620 0.154 0.207 Br
0.744 0.615 0.164 Br
0.887 0.194 0.652 Br
```

Peak list (10 most intense, 10° ≤ 2θ ≤ 80°, sorted by position)
2θ (°)	I (rel.)
13.18	100
18.80	35
19.12	50
19.89	18
21.53	91
28.90	18
29.82	25
33.15	22
34.50	25
45.53	31

Record 11
This entry pairs a crystal structure of Bi6IrBr2 with its computed powder XRD pattern. Radiation: Cu Ka. Structure: the PBE geometry in Alexandria.
Intensities are scaled so that the largest is 100.

Structure:
```
Bi6IrBr2
1.0
8.488 -4.711 0.000
8.488 4.711 0.000
-0.808 0.000 3.624
Bi Ir Br
6 1 2
direct
0.003 0.316 0.658 Bi
0.233 0.767 0.000 Bi
0.316 0.003 0.658 Bi
0.684 0.997 0.342 Bi
0.767 0.233 0.000 Bi
0.997 0.684 0.342 Bi
0.000 0.000 0.500 Ir
0.382 0.382 0.886 Br
0.618 0.618 0.114 Br
```

Peak list (10 most intense, 10° ≤ 2θ ≤ 80°, sorted by position)
2θ (°)	I (rel.)
10.68	28
10.80	94
25.79	63
28.97	90
32.42	55
32.80	53
34.79	100
39.11	33
41.24	25
43.61	25

Record 12
This entry pairs a crystal structure of Tb2Nd2SmDy with its computed powder XRD pattern. Radiation: Cu Ka. Structure: the PBE geometry in Alexandria.
Intensities are scaled so that the largest is 100.

Structure:
```
Tb2Nd2SmDy
1.0
6.651 0.000 0.000
0.000 18.065 0.000
0.000 0.000 3.408
Tb Nd Sm Dy
4 4 2 2
direct
0.228 0.146 0.000 Tb
0.272 0.646 0.500 Tb
0.728 0.354 0.500 Tb
0.772 0.854 0.000 Tb
0.230 0.315 0.500 Nd
0.270 0.815 0.000 Nd
0.730 0.185 0.000 Nd
0.770 0.685 0.500 Nd
0.000 0.000 0.500 Sm
0.500 0.500 0.000 Sm
0.000 0.500 0.500 Dy
0.500 0.000 0.000 Dy
```

Peak list (10 most intense, 10° ≤ 2θ ≤ 80°, sorted by position)
2θ (°)	I (rel.)
26.62	35
28.60	100
29.67	78
30.13	79
31.10	42
32.65	33
33.46	68
35.66	39
40.76	70
54.85	27